(1)
Structure and computed powder XRD pattern of K6Rb4Hg (a structure optimized by DFT (PBE); Cu Kα (weighted mean of Kα1 and Kα2)).
Peak positions follow from Bragg's law for the DFT cell and can differ from measured ones.

Main lines, low angle first (10° ≤ 2θ ≤ 80°):
8.297 Å, 10.66°, rel. 73
4.819 Å, 18.41°, rel. 32
3.904 Å, 22.78°, rel. 100
3.764 Å, 23.64°, rel. 29
3.649 Å, 24.40°, rel. 94
3.152 Å, 28.32°, rel. 21
2.986 Å, 29.92°, rel. 23
2.580 Å, 34.77°, rel. 25
2.494 Å, 36.01°, rel. 22
2.311 Å, 38.98°, rel. 37

Cell and atoms:
```
K6Rb4Hg
1.0
11.535 0.000 0.000
0.000 11.535 0.000
0.000 0.000 11.944
K Rb Hg
12 8 2
Direct
0.000 0.000 0.192
0.000 0.000 0.808
0.133 0.297 0.500
0.203 0.367 0.000
0.297 0.867 0.500
0.367 0.797 0.000
0.500 0.500 0.308
0.500 0.500 0.692
0.633 0.203 0.000
0.703 0.133 0.500
0.797 0.633 0.000
0.867 0.703 0.500
0.141 0.641 0.250
0.141 0.641 0.750
0.359 0.141 0.250
0.359 0.141 0.750
0.641 0.859 0.250
0.641 0.859 0.750
0.859 0.359 0.250
0.859 0.359 0.750
0.000 0.000 0.500
0.500 0.500 0.000
```

***

(2)
Structure and computed powder XRD pattern of Ce4Sb5Te (a structure optimized by DFT (PBE); Cu Kα (weighted mean of Kα1 and Kα2)).
Peak positions follow from Bragg's law for the DFT cell and can differ from measured ones.

Main lines, low angle first (10° ≤ 2θ ≤ 80°):
4.118 Å, 21.58°, rel. 27
3.380 Å, 26.37°, rel. 35
2.925 Å, 30.56°, rel. 100
2.753 Å, 32.53°, rel. 17
2.517 Å, 35.67°, rel. 54
2.394 Å, 37.57°, rel. 37
2.159 Å, 41.84°, rel. 30
2.029 Å, 44.66°, rel. 19
1.953 Å, 46.49°, rel. 15
1.548 Å, 59.75°, rel. 16

Cell and atoms:
```
Ce4Sb5Te
1.0
8.483 -2.394 0.000
8.483 2.394 0.000
-1.910 0.000 8.116
Ce Sb Te
4 5 1
Direct
0.035 0.035 0.253
0.315 0.315 0.237
0.685 0.685 0.763
0.965 0.965 0.747
0.146 0.146 0.986
0.203 0.203 0.509
0.500 0.500 0.000
0.797 0.797 0.491
0.854 0.854 0.014
0.500 0.500 0.500
```

***

(3)
Structure and computed powder XRD pattern of La2Pm3Nd5 (a structure optimized by DFT (PBE); Cu Kα (weighted mean of Kα1 and Kα2)).
Peak positions follow from Bragg's law for the DFT cell and can differ from measured ones.

Main lines, low angle first (10° ≤ 2θ ≤ 80°):
3.100 Å, 28.80°, rel. 92
2.906 Å, 30.77°, rel. 100
2.815 Å, 31.79°, rel. 20
2.778 Å, 32.22°, rel. 47
2.686 Å, 33.36°, rel. 18
2.558 Å, 35.08°, rel. 22
1.877 Å, 48.51°, rel. 20
1.627 Å, 56.55°, rel. 18
1.555 Å, 59.44°, rel. 22
1.508 Å, 61.48°, rel. 26

Cell and atoms:
```
La2Pm3Nd5
1.0
5.556 -8.644 0.000
5.556 8.644 0.000
-5.553 0.000 7.419
La Pm Nd
4 6 10
Direct
0.025 0.276 0.049
0.276 0.025 0.549
0.724 0.975 0.451
0.975 0.724 0.951
0.235 0.485 0.469
0.277 0.723 0.250
0.485 0.235 0.969
0.515 0.765 0.031
0.723 0.277 0.750
0.765 0.515 0.531
0.026 0.974 0.750
0.123 0.376 0.749
0.220 0.780 0.750
0.376 0.123 0.249
0.471 0.529 0.250
0.529 0.471 0.750
0.624 0.877 0.751
0.780 0.220 0.250
0.877 0.624 0.251
0.974 0.026 0.250
```

***

(4)
Structure and computed powder XRD pattern of RbVSn2 (a structure optimized by DFT (PBE); Cu Kα (weighted mean of Kα1 and Kα2)).
Peak positions follow from Bragg's law for the DFT cell and can differ from measured ones.

Main lines, low angle first (10° ≤ 2θ ≤ 80°):
5.805 Å, 15.26°, rel. 85
4.210 Å, 21.10°, rel. 92
3.891 Å, 22.85°, rel. 70
3.016 Å, 29.62°, rel. 40
2.903 Å, 30.81°, rel. 100
2.722 Å, 32.91°, rel. 62
2.509 Å, 35.79°, rel. 21
2.162 Å, 41.79°, rel. 27
2.105 Å, 42.97°, rel. 41
1.946 Å, 46.68°, rel. 78

Cell and atoms:
```
RbVSn2
1.0
-3.081 3.081 8.646
3.081 -3.081 8.646
3.081 3.081 -8.646
Rb V Sn
2 2 4
Direct
0.000 0.000 0.000
0.750 0.250 0.500
0.250 0.750 0.500
0.500 0.500 0.000
0.374 0.125 0.749
0.375 0.626 0.751
0.376 0.625 0.251
0.875 0.624 0.249
```

***

What is the formula in the third record? La2Pm3Nd5

***

What did the second record say?
Structure and computed powder XRD pattern of Ce4Sb5Te (a structure optimized by DFT (PBE); Cu Kα (weighted mean of Kα1 and Kα2)).
Peak positions follow from Bragg's law for the DFT cell and can differ from measured ones.

Main lines, low angle first (10° ≤ 2θ ≤ 80°):
4.118 Å, 21.58°, rel. 27
3.380 Å, 26.37°, rel. 35
2.925 Å, 30.56°, rel. 100
2.753 Å, 32.53°, rel. 17
2.517 Å, 35.67°, rel. 54
2.394 Å, 37.57°, rel. 37
2.159 Å, 41.84°, rel. 30
2.029 Å, 44.66°, rel. 19
1.953 Å, 46.49°, rel. 15
1.548 Å, 59.75°, rel. 16

Cell and atoms:
```
Ce4Sb5Te
1.0
8.483 -2.394 0.000
8.483 2.394 0.000
-1.910 0.000 8.116
Ce Sb Te
4 5 1
Direct
0.035 0.035 0.253
0.315 0.315 0.237
0.685 0.685 0.763
0.965 0.965 0.747
0.146 0.146 0.986
0.203 0.203 0.509
0.500 0.500 0.000
0.797 0.797 0.491
0.854 0.854 0.014
0.500 0.500 0.500
```